CaAg2: calculated XRD peak list (Cu Kα X-rays), based on the GGA-PBE geometry in the Materials Project.
Lines closer than 0.1° are merged.

Structural model:
```
6
Lattice="-2.3593 3.6730 4.1376 2.3593 -3.6730 4.1376 2.3593 3.6730 -4.1376" Properties=species:S:1:pos:R:3 pbc="T T T"
Ca 0.0000 1.8365 0.3920
Ca 2.3593 1.8365 3.7457
Ag 2.3593 -0.3726 1.3369
Ag 2.3593 3.3005 -1.3369
Ag 0.0000 0.3726 5.4746
Ag 0.0000 4.0456 2.8007
```

Main lines, by intensity (10 to 80 degrees two-theta):
2θ/deg	d (Å)	I_rel
37.78	2.381	100
32.74	2.735	88
38.14	2.359	55
24.23	3.673	49
45.39	1.998	44
38.33	2.348	43
31.22	2.865	41
21.68	4.099	40
47.24	1.924	33
32.60	2.747	32
16.13	5.494	29
55.19	1.664	28

=====

PmInAg2: calculated XRD peak list (Cu Kα X-rays), based on the GGA-PBE geometry in the Materials Project.
Lines closer than 0.1° are merged.

Structural model:
```
4
Lattice="0.0000 3.5608 3.5608 3.5608 0.0000 3.5608 3.5608 3.5608 0.0000" Properties=species:S:1:pos:R:3 pbc="T T T"
Pm 0.0000 0.0000 0.0000
In 3.5608 3.5608 3.5608
Ag 1.7804 1.7804 1.7804
Ag 5.3413 5.3413 5.3413
```

Main lines, by intensity (10 to 80 degrees two-theta):
2θ/deg	d (Å)	I_rel
35.66	2.518	100
64.05	1.454	35
51.32	1.780	17
75.52	1.259	11
21.61	4.112	1
25.01	3.561	1

=====

LiEr4Zr4O14: calculated XRD peak list (Cu Kα X-rays), based on the GGA-PBE geometry in the Materials Project.
Lines closer than 0.1° are merged.

Structural model:
```
23
Lattice="3.6255 0.0000 0.0000 0.0000 7.5370 0.0000 0.0000 0.0000 10.7030" Properties=species:S:1:pos:R:3 pbc="T T T"
Li 0.0000 0.0000 0.0000
Er 0.0000 0.0000 2.8832
Er 0.0000 3.7685 7.8096
Er 1.8128 2.0499 10.5833
Er 1.8128 5.4870 10.5833
Zr 0.0000 0.0000 7.9817
Zr 0.0000 3.7685 2.7224
Zr 1.8128 1.9625 5.2897
Zr 1.8128 5.5744 5.2897
O 0.0000 1.4865 1.1463
O 0.0000 1.7660 6.3575
O 0.0000 1.9179 9.0646
O 0.0000 2.0190 3.8081
O 0.0000 5.5180 3.8081
O 0.0000 5.6191 9.0646
O 0.0000 5.7710 6.3575
O 0.0000 6.0504 1.1463
O 1.8128 0.0000 4.1730
O 1.8128 0.0000 7.0040
O 1.8128 0.0000 9.8353
O 1.8128 3.7685 1.4681
O 1.8128 3.7685 4.1229
O 1.8128 3.7685 6.6372
```

Main lines, by intensity (10 to 80 degrees two-theta):
2θ/deg	d (Å)	I_rel
28.98	3.081	100
29.77	3.002	98
48.71	1.869	62
34.32	2.613	41
57.77	1.596	27
59.13	1.562	26
33.49	2.676	22
50.34	1.813	17
48.30	1.884	17
57.13	1.612	12
57.59	1.601	12
25.00	3.562	12

=====

CeSCl: calculated XRD peak list (Cu Kα X-rays), based on the GGA-PBE geometry in the Materials Project.
Lines closer than 0.1° are merged.

Structural model:
```
24
Lattice="6.8689 0.0000 0.0000 0.0000 13.5419 0.0000 0.0000 0.0000 7.0294" Properties=species:S:1:pos:R:3 pbc="T T T"
Ce 1.6498 1.3184 0.2447
Ce 1.6498 5.4525 3.7594
Ce 1.7847 8.0894 0.2447
Ce 1.7847 12.2234 3.7594
Ce 5.0843 1.3184 3.2700
Ce 5.0843 5.4525 6.7847
Ce 5.2191 8.0894 3.2700
Ce 5.2191 12.2234 6.7847
S 0.0070 7.1143 5.3326
S 0.0070 13.1984 1.8179
S 3.4274 0.3434 5.3326
S 3.4274 6.4275 1.8179
S 3.4415 7.1143 5.2115
S 3.4415 13.1984 1.6968
S 6.8619 0.3434 5.2115
S 6.8619 6.4275 1.6968
Cl 0.9849 9.6381 2.6133
Cl 0.9849 10.6747 6.1280
Cl 2.4495 2.8671 2.6133
Cl 2.4495 3.9038 6.1280
Cl 4.4194 9.6381 0.9014
Cl 4.4194 10.6747 4.4160
Cl 5.8840 2.8671 0.9014
Cl 5.8840 3.9038 4.4160
```

Main lines, by intensity (10 to 80 degrees two-theta):
2θ/deg	d (Å)	I_rel
22.36	3.976	100
32.11	2.788	30
36.58	2.456	25
43.67	2.073	21
42.91	2.107	16
37.29	2.411	16
25.94	3.434	16
36.86	2.438	15
13.08	6.771	14
25.34	3.515	11
39.01	2.309	9
44.16	2.051	9

=====

CaMg6Nb: calculated XRD peak list (Cu Kα X-rays), based on the GGA-PBE geometry in the Materials Project.
Lines closer than 0.1° are merged.

Structural model:
```
8
Lattice="5.1644 0.0000 0.0000 0.0000 3.2423 5.6078 0.0000 -3.2423 5.6078" Properties=species:S:1:pos:R:3 pbc="T T T"
Ca 0.0000 0.0000 0.0000
Mg 0.0000 0.0000 5.6368
Mg 0.0000 -1.5204 8.4782
Mg 0.0000 1.5204 8.4782
Mg 2.5822 0.0000 3.7423
Mg 2.5822 -1.5912 6.5933
Mg 2.5822 1.5912 6.5933
Nb 2.5822 0.0000 9.2915
```

Main lines, by intensity (10 to 80 degrees two-theta):
2θ/deg	d (Å)	I_rel
36.44	2.466	100
15.79	5.612	38
31.90	2.806	26
34.74	2.582	25
23.41	3.800	22
68.36	1.372	19
63.39	1.467	18
56.83	1.620	17
47.88	1.900	16
69.42	1.354	13
32.63	2.744	12
46.27	1.962	9

=====

ZrS2N: calculated XRD peak list (Cu Kα X-rays), based on the GGA-PBE geometry in the Materials Project.
Lines closer than 0.1° are merged.

Structural model:
```
4
Lattice="1.8500 1.0681 8.2322 -1.8500 1.0681 8.2322 0.0000 -2.1362 8.2322" Properties=species:S:1:pos:R:3 pbc="T T T"
Zr 0.0000 0.0000 0.0000
S 0.0000 0.0000 9.6865
S 0.0000 0.0000 15.0064
N 0.0000 0.0000 4.2642
```

Main lines, by intensity (10 to 80 degrees two-theta):
2θ/deg	d (Å)	I_rel
10.75	8.232	100
33.33	2.688	46
28.78	3.102	25
49.25	1.850	15
40.58	2.223	15
46.42	1.956	14
50.57	1.805	12
37.93	2.372	11
56.30	1.634	7
21.59	4.116	7
60.78	1.524	7
28.08	3.178	6

=====

AlPH2O4: calculated XRD peak list (Cu Kα X-rays), based on the GGA-PBE geometry in the Materials Project.
Lines closer than 0.1° are merged.

Structural model:
```
32
Lattice="5.2756 0.0000 0.0000 0.0000 9.0372 0.0000 -5.1918 0.0000 9.0928" Properties=species:S:1:pos:R:3 pbc="T T T"
Al 0.2364 1.7946 1.3836
Al -2.3595 2.7240 5.9300
Al 2.4433 6.3132 3.1628
Al -0.1527 7.2426 7.7092
P -2.8296 5.9297 6.3372
P -0.2337 7.6261 1.7908
P 0.3175 1.4111 7.3020
P 2.9134 3.1075 2.7556
H 0.2041 4.6980 3.1710
H -2.3919 8.8578 7.7174
H 2.1932 5.7436 0.4139
H -0.4027 7.8123 4.9603
H 0.4865 1.2249 4.1325
H -2.1095 3.2937 8.6789
H 2.4756 0.1794 1.3754
H -0.1203 4.3392 5.9218
O -4.0518 6.2813 7.1953
O -1.4559 7.2746 2.6489
O -4.7438 1.9302 8.7350
O -2.1479 2.5884 4.1886
O -0.0640 0.1164 1.7904
O -2.6599 4.4023 6.3368
O -1.5718 6.5756 6.9337
O 1.0241 6.9803 2.3873
O -0.9404 2.0570 6.7055
O 1.6556 2.4616 2.1591
O 2.7437 4.6350 2.7560
O 0.1478 8.9209 7.3024
O 2.2316 6.4488 4.9042
O 4.8275 7.1070 0.3578
O 1.5396 1.7627 6.4439
O 4.1356 2.7560 1.8975
```

Main lines, by intensity (10 to 80 degrees two-theta):
2θ/deg	d (Å)	I_rel
19.51	4.550	100
19.65	4.519	39
19.37	4.581	26
21.93	4.052	21
13.82	6.410	17
34.27	2.617	16
27.84	3.205	14
33.98	2.638	12
31.12	2.874	6
25.96	3.432	6
35.69	2.516	6
27.61	3.231	5